No. 1
Diffraction record for PmPr7Ho4. The PXRD pattern is theoretical, not measured: it uses the GGA-PBE geometry in Alexandria and Cu Ka.

Structure:
abc: 8.6857 8.6857 9.5678
angles: 115.41 115.41 40.88
Atoms (fractional coordinates):
Pm 0.0000 0.0000 0.0000
Pr 0.0876 0.0876 0.4541
Pr 0.2138 0.2138 0.8871
Pr 0.2169 0.2169 0.2455
Pr 0.5000 0.5000 0.0000
Pr 0.7831 0.7831 0.7545
Pr 0.7862 0.7862 0.1129
Pr 0.9124 0.9124 0.5459
Ho 0.3319 0.3319 0.6251
Ho 0.4311 0.4311 0.3006
Ho 0.5689 0.5689 0.6994
Ho 0.6681 0.6681 0.3749

Most intense lines, 10° ≤ 2θ ≤ 80°, in order of falling intensity:
- 29.45 deg, I 100
- 32.79 deg, I 70
- 31.95 deg, I 69
- 31.40 deg, I 61
- 30.98 deg, I 41
- 43.27 deg, I 33
- 31.97 deg, I 28
- 23.91 deg, I 25
- 29.12 deg, I 24
- 28.82 deg, I 23

No. 2
Diffraction record for RbCu4I7. The PXRD pattern is theoretical, not measured: it uses the GGA-PBE geometry in Alexandria and Cu Ka.

Structure:
abc: 16.9465 7.1506 6.9880
angles: 90.00 90.00 90.00
Atoms (fractional coordinates):
Rb 0.0000 0.1562 0.0000
Rb 0.5000 0.8438 0.5000
Cu 0.1224 0.6650 0.6557
Cu 0.2498 0.1736 0.6488
Cu 0.2502 0.8264 0.1488
Cu 0.3776 0.3350 0.1557
Cu 0.6224 0.3350 0.1557
Cu 0.7502 0.1736 0.6488
Cu 0.7498 0.8264 0.1488
Cu 0.8776 0.6650 0.6557
I 0.0000 0.8382 0.5236
I 0.1197 0.3242 0.5366
I 0.1209 0.6807 0.0256
I 0.2489 0.8285 0.5229
I 0.2511 0.1715 0.0229
I 0.3791 0.3193 0.5256
I 0.3803 0.6758 0.0366
I 0.5000 0.1618 0.0236
I 0.6197 0.6758 0.0366
I 0.6209 0.3193 0.5256
I 0.7489 0.1715 0.0229
I 0.7511 0.8285 0.5229
I 0.8791 0.6807 0.0256
I 0.8803 0.3242 0.5366

Most intense lines, 10° ≤ 2θ ≤ 80°, in order of falling intensity:
- 27.60 deg, I 100
- 25.49 deg, I 60
- 46.25 deg, I 50
- 24.42 deg, I 47
- 43.57 deg, I 42
- 28.03 deg, I 41
- 51.15 deg, I 35
- 24.90 deg, I 31
- 42.68 deg, I 23
- 46.53 deg, I 22

No. 3
Diffraction record for InSO6. The PXRD pattern is theoretical, not measured: it uses the GGA-PBE geometry in Alexandria and Cu Ka.

Structure:
abc: 5.2094 5.2094 5.2094
angles: 56.05 56.05 56.05
Atoms (fractional coordinates):
In 0.0000 0.0000 0.0000
S 0.5000 0.5000 0.5000
O 0.1559 0.4300 0.7000
O 0.3000 0.8441 0.5700
O 0.4300 0.7000 0.1559
O 0.5700 0.3000 0.8441
O 0.7000 0.1559 0.4300
O 0.8441 0.5700 0.3000

Most intense lines, 10° ≤ 2θ ≤ 80°, in order of falling intensity:
- 25.00 deg, I 100
- 34.56 deg, I 32
- 56.40 deg, I 24
- 42.31 deg, I 23
- 22.03 deg, I 16
- 36.71 deg, I 15
- 44.93 deg, I 13
- 59.37 deg, I 12
- 64.74 deg, I 12
- 51.31 deg, I 11

No. 4
Diffraction record for ZnAsPd3. The PXRD pattern is theoretical, not measured: it uses the GGA-PBE geometry in Alexandria and Cu Ka.

Structure:
abc: 8.4328 8.4328 4.8324
angles: 90.00 90.00 110.34
Atoms (fractional coordinates):
Zn 0.1056 0.8944 0.8592
Zn 0.3944 0.6056 0.3592
Zn 0.6056 0.3944 0.6408
Zn 0.8944 0.1056 0.1408
As 0.1166 0.3834 0.7500
As 0.3834 0.1166 0.2500
As 0.6166 0.8834 0.7500
As 0.8834 0.6166 0.2500
Pd 0.0634 0.4366 0.2500
Pd 0.1431 0.1431 0.5000
Pd 0.1848 0.8152 0.3513
Pd 0.3152 0.6848 0.8513
Pd 0.3569 0.3569 0.0000
Pd 0.4366 0.0634 0.7500
Pd 0.5634 0.9366 0.2500
Pd 0.6431 0.6431 0.0000
Pd 0.6848 0.3152 0.1487
Pd 0.8152 0.1848 0.6487
Pd 0.8569 0.8569 0.5000
Pd 0.9366 0.5634 0.7500

Most intense lines, 10° ≤ 2θ ≤ 80°, in order of falling intensity:
- 37.00 deg, I 100
- 47.57 deg, I 90
- 38.95 deg, I 80
- 38.63 deg, I 60
- 39.62 deg, I 55
- 39.50 deg, I 44
- 53.74 deg, I 43
- 37.34 deg, I 42
- 45.91 deg, I 39
- 34.15 deg, I 35

No. 5
Diffraction record for HoTi2Al5. The PXRD pattern is theoretical, not measured: it uses the GGA-PBE geometry in Alexandria and Cu Ka.

Structure:
abc: 3.9064 6.2510 12.4591
angles: 90.00 90.00 90.00
Atoms (fractional coordinates):
Ho 0.0000 0.0000 0.0000
Ho 0.5000 0.5000 0.5000
Ti 0.0000 0.5000 0.2237
Ti 0.0000 0.5000 0.7763
Ti 0.5000 0.0000 0.2763
Ti 0.5000 0.0000 0.7237
Al 0.0000 0.2168 0.3855
Al 0.0000 0.2168 0.6145
Al 0.0000 0.5000 0.0000
Al 0.0000 0.7832 0.3855
Al 0.0000 0.7832 0.6145
Al 0.5000 0.0000 0.5000
Al 0.5000 0.2832 0.1145
Al 0.5000 0.2832 0.8855
Al 0.5000 0.7168 0.1145
Al 0.5000 0.7168 0.8855

Most intense lines, 10° ≤ 2θ ≤ 80°, in order of falling intensity:
- 30.56 deg, I 100
- 37.55 deg, I 86
- 40.90 deg, I 55
- 25.75 deg, I 55
- 43.05 deg, I 53
- 15.86 deg, I 44
- 31.44 deg, I 37
- 14.22 deg, I 36
- 63.63 deg, I 29
- 23.87 deg, I 26

No. 6
Diffraction record for Ce2CuSe2S2. The PXRD pattern is theoretical, not measured: it uses the GGA-PBE geometry in Alexandria and Cu Ka.

Structure:
abc: 4.5529 4.5529 11.2831
angles: 90.00 90.00 120.00
Atoms (fractional coordinates):
Ce 0.3333 0.6667 0.1670
Ce 0.6667 0.3333 0.8330
Cu 0.0000 0.0000 0.5000
Se 0.0000 0.0000 0.3005
Se 0.0000 0.0000 0.6995
S 0.3333 0.6667 0.9136
S 0.6667 0.3333 0.0864

Most intense lines, 10° ≤ 2θ ≤ 80°, in order of falling intensity:
- 23.91 deg, I 100
- 39.59 deg, I 54
- 39.27 deg, I 36
- 46.36 deg, I 27
- 32.91 deg, I 24
- 27.60 deg, I 21
- 46.78 deg, I 16
- 15.71 deg, I 16
- 62.90 deg, I 13
- 56.99 deg, I 12

No. 7
Diffraction record for BaPu4Ag3S12. The PXRD pattern is theoretical, not measured: it uses the GGA-PBE geometry in Alexandria and Cu Ka.

Structure:
abc: 8.5602 8.5602 8.5602
angles: 109.47 109.47 109.47
Atoms (fractional coordinates):
Ba 0.0000 0.0000 0.0000
Pu 0.0000 0.0000 0.5000
Pu 0.0000 0.5000 0.0000
Pu 0.5000 0.0000 0.0000
Pu 0.5000 0.5000 0.5000
Ag 0.0000 0.5000 0.5000
Ag 0.5000 0.0000 0.5000
Ag 0.5000 0.5000 0.0000
S 0.1295 0.3025 0.8270
S 0.1730 0.4755 0.3025
S 0.1730 0.8705 0.6975
S 0.3025 0.1730 0.4755
S 0.3025 0.8270 0.1295
S 0.4755 0.3025 0.1730
S 0.5245 0.6975 0.8270
S 0.6975 0.1730 0.8705
S 0.6975 0.8270 0.5245
S 0.8270 0.1295 0.3025
S 0.8270 0.5245 0.6975
S 0.8705 0.6975 0.1730

Most intense lines, 10° ≤ 2θ ≤ 80°, in order of falling intensity:
- 25.49 deg, I 100
- 44.93 deg, I 60
- 36.36 deg, I 28
- 71.41 deg, I 26
- 59.11 deg, I 22
- 17.95 deg, I 18
- 52.36 deg, I 17
- 40.83 deg, I 11
- 65.41 deg, I 6
- 55.80 deg, I 4

No. 8
Diffraction record for PrSm8Sc2. The PXRD pattern is theoretical, not measured: it uses the GGA-PBE geometry in Alexandria and Cu Ka.

Structure:
abc: 9.2346 9.2346 5.8874
angles: 105.24 105.24 121.73
Atoms (fractional coordinates):
Pr 0.0000 0.0000 0.0000
Sm 0.0977 0.3391 0.6744
Sm 0.2085 0.7915 0.0000
Sm 0.3391 0.0977 0.6744
Sm 0.4240 0.4240 0.2074
Sm 0.5760 0.5760 0.7926
Sm 0.6609 0.9023 0.3256
Sm 0.7915 0.2085 0.0000
Sm 0.9023 0.6609 0.3256
Sc 0.3098 0.6902 0.5000
Sc 0.6902 0.3098 0.5000

Most intense lines, 10° ≤ 2θ ≤ 80°, in order of falling intensity:
- 31.69 deg, I 100
- 30.35 deg, I 96
- 32.44 deg, I 91
- 31.84 deg, I 56
- 28.54 deg, I 50
- 31.18 deg, I 42
- 36.86 deg, I 37
- 20.26 deg, I 30
- 30.65 deg, I 30
- 47.52 deg, I 29

No. 9
Diffraction record for NaLiMg2. The PXRD pattern is theoretical, not measured: it uses the GGA-PBE geometry in Alexandria and Cu Ka.

Structure:
abc: 5.7308 3.1457 11.0144
angles: 90.00 102.37 90.00
Atoms (fractional coordinates):
Na 0.0000 0.0000 0.0000
Na 0.5000 0.5000 0.0000
Li 0.3178 0.5000 0.4994
Li 0.8178 0.0000 0.4994
Mg 0.2186 0.0000 0.7271
Mg 0.4166 0.0000 0.2717
Mg 0.7186 0.5000 0.7271
Mg 0.9166 0.5000 0.2717

Most intense lines, 10° ≤ 2θ ≤ 80°, in order of falling intensity:
- 35.14 deg, I 100
- 33.31 deg, I 68
- 34.81 deg, I 62
- 32.70 deg, I 59
- 34.59 deg, I 49
- 38.38 deg, I 46
- 24.83 deg, I 45
- 36.24 deg, I 38
- 56.39 deg, I 33
- 16.48 deg, I 31

No. 10
Diffraction record for Ac3AlTl4S8. The PXRD pattern is theoretical, not measured: it uses the GGA-PBE geometry in Alexandria and Cu Ka.

Structure:
abc: 8.5265 8.5265 9.0246
angles: 118.72 118.72 59.47
Atoms (fractional coordinates):
Ac 0.0000 0.0000 0.0000
Ac 0.0000 0.5000 0.0000
Ac 0.5000 0.0000 0.0000
Al 0.5000 0.5000 0.0000
Tl 0.0000 0.0000 0.5000
Tl 0.0000 0.5000 0.5000
Tl 0.5000 0.0000 0.5000
Tl 0.5000 0.5000 0.5000
S 0.2381 0.2381 0.2160
S 0.2644 0.2644 0.7842
S 0.2819 0.7015 0.1861
S 0.2985 0.7181 0.8139
S 0.7015 0.2819 0.1861
S 0.7181 0.2985 0.8139
S 0.7356 0.7356 0.2158
S 0.7619 0.7619 0.7840

Most intense lines, 10° ≤ 2θ ≤ 80°, in order of falling intensity:
- 28.96 deg, I 100
- 25.54 deg, I 46
- 23.67 deg, I 29
- 40.42 deg, I 26
- 42.41 deg, I 24
- 25.26 deg, I 24
- 40.05 deg, I 13
- 52.47 deg, I 12
- 60.02 deg, I 12
- 47.22 deg, I 12

No. 11
Diffraction record for Np3SeS3. The PXRD pattern is theoretical, not measured: it uses the GGA-PBE geometry in Alexandria and Cu Ka.

Structure:
abc: 5.6677 5.6677 5.6677
angles: 104.09 104.09 104.09
Atoms (fractional coordinates):
Np 0.0057 0.4972 0.4972
Np 0.4972 0.0057 0.4972
Np 0.4972 0.4972 0.0057
Se 0.5170 0.5170 0.5170
S 0.0730 0.0730 0.6468
S 0.0730 0.6468 0.0730
S 0.6468 0.0730 0.0730

Most intense lines, 10° ≤ 2θ ≤ 80°, in order of falling intensity:
- 34.46 deg, I 100
- 26.28 deg, I 88
- 40.37 deg, I 71
- 17.03 deg, I 61
- 33.17 deg, I 32
- 56.93 deg, I 31
- 54.10 deg, I 27
- 69.61 deg, I 26
- 19.87 deg, I 19
- 48.81 deg, I 19

No. 12
Diffraction record for Hg3ClF4. The PXRD pattern is theoretical, not measured: it uses the GGA-PBE geometry in Alexandria and Cu Ka.

Structure:
abc: 7.1565 7.1565 8.3886
angles: 107.88 107.88 53.01
Atoms (fractional coordinates):
Hg 0.0007 0.9993 0.5000
Hg 0.3204 0.3929 0.7483
Hg 0.3929 0.3204 0.2483
Hg 0.5971 0.6197 0.2148
Hg 0.6197 0.5971 0.7148
Hg 0.9993 0.0007 0.0000
Cl 0.6277 0.9676 0.8596
Cl 0.9676 0.6277 0.3596
F 0.0180 0.3245 0.6518
F 0.1866 0.7997 0.7488
F 0.2674 0.5836 0.0490
F 0.3245 0.0180 0.1518
F 0.4010 0.7340 0.4467
F 0.5836 0.2674 0.5490
F 0.7340 0.4010 0.9467
F 0.7997 0.1866 0.2488

Most intense lines, 10° ≤ 2θ ≤ 80°, in order of falling intensity:
- 26.24 deg, I 100
- 25.41 deg, I 95
- 29.67 deg, I 89
- 46.07 deg, I 58
- 27.93 deg, I 56
- 41.90 deg, I 55
- 40.04 deg, I 41
- 30.59 deg, I 39
- 14.73 deg, I 37
- 22.33 deg, I 36

What did the eleventh record say?
Diffraction record for Np3SeS3. The PXRD pattern is theoretical, not measured: it uses the GGA-PBE geometry in Alexandria and Cu Ka.

Structure:
abc: 5.6677 5.6677 5.6677
angles: 104.09 104.09 104.09
Atoms (fractional coordinates):
Np 0.0057 0.4972 0.4972
Np 0.4972 0.0057 0.4972
Np 0.4972 0.4972 0.0057
Se 0.5170 0.5170 0.5170
S 0.0730 0.0730 0.6468
S 0.0730 0.6468 0.0730
S 0.6468 0.0730 0.0730

Most intense lines, 10° ≤ 2θ ≤ 80°, in order of falling intensity:
- 34.46 deg, I 100
- 26.28 deg, I 88
- 40.37 deg, I 71
- 17.03 deg, I 61
- 33.17 deg, I 32
- 56.93 deg, I 31
- 54.10 deg, I 27
- 69.61 deg, I 26
- 19.87 deg, I 19
- 48.81 deg, I 19

What is the formula in the third record?
InSO6